1.
For Y2Ho2CI2Cl3, a DFT-relaxed cell (PBE, OQMD) gives the theoretical X-ray diffraction stick pattern in this record (Cu Kα, 1.54184 Å).

Atomic structure:
Cell: 9.322 9.322 7.875 Å, 99.76 99.76 23.61°
Fractional positions:
Y (0.003, 0.003, 0.292)
Y (0.997, 0.997, 0.708)
Ho (0.367, 0.367, 0.432)
Ho (0.633, 0.633, 0.568)
C (0.500, 0.500, 0.500)
I (0.175, 0.175, 0.298)
I (0.825, 0.825, 0.702)
Cl (0.149, 0.149, 0.816)
Cl (0.500, 0.500, 0.000)
Cl (0.851, 0.851, 0.184)

Most intense lines, 2θ = 10–90°, sorted by position:
2theta  I (rel.)
11.4  100
24.6  24
26.1  32
29.8  31
32.7  87
34.3  26
34.5  17
34.8  28
44.1  19
47.7  17

2.
For TlFeCl4, a DFT-relaxed cell (PBE, OQMD) gives the theoretical X-ray diffraction stick pattern in this record (Cu Kα, 1.54184 Å).

Atomic structure:
Cell: 6.148 6.148 13.009 Å, 90.00 90.00 90.00°
Fractional positions:
Tl (0.000, 0.000, 0.000)
Tl (0.000, 0.000, 0.500)
Fe (0.000, 0.500, 0.250)
Fe (0.500, 0.000, 0.750)
Cl (0.221, 0.305, 0.347)
Cl (0.221, 0.695, 0.153)
Cl (0.305, 0.221, 0.847)
Cl (0.305, 0.779, 0.653)
Cl (0.695, 0.221, 0.653)
Cl (0.695, 0.779, 0.847)
Cl (0.779, 0.305, 0.153)
Cl (0.779, 0.695, 0.347)

Most intense lines, 2θ = 10–90°, sorted by position:
2theta  I (rel.)
14.4  69
15.9  29
19.9  79
24.6  100
31.1  28
32.6  26
35.4  35
40.4  38
46.8  20
48.9  25

3.
For Pr3GdC2I2, a DFT-relaxed cell (PBE, OQMD) gives the theoretical X-ray diffraction stick pattern in this record (Cu Kα, 1.54184 Å).

Atomic structure:
Cell: 3.883 3.883 15.533 Å, 90.00 90.00 120.00°
Fractional positions:
Pr (0.000, 0.000, 0.000)
Pr (0.000, 0.000, 0.329)
Pr (0.667, 0.333, 0.506)
Gd (0.667, 0.333, 0.829)
C (0.333, 0.667, 0.418)
C (0.333, 0.667, 0.907)
I (0.000, 0.000, 0.674)
I (0.667, 0.333, 0.163)

Most intense lines, 2θ = 10–90°, sorted by position:
2theta  I (rel.)
26.5  24
31.7  100
34.6  16
44.1  14
46.8  24
57.6  18
59.5  21
60.3  15
77.3  15
79.6  7

4.
For Li4GaAgPd2, a DFT-relaxed cell (PBE, OQMD) gives the theoretical X-ray diffraction stick pattern in this record (Cu Kα, 1.54184 Å).

Atomic structure:
Cell: 4.395 4.395 6.128 Å, 90.00 90.00 90.00°
Fractional positions:
Li (0.000, 0.000, 0.000)
Li (0.000, 0.500, 0.246)
Li (0.500, 0.000, 0.754)
Li (0.500, 0.500, 0.500)
Ga (0.000, 0.000, 0.500)
Ag (0.500, 0.500, 0.000)
Pd (0.000, 0.500, 0.720)
Pd (0.500, 0.000, 0.280)

Most intense lines, 2θ = 10–90°, sorted by position:
2theta  I (rel.)
24.9  100
41.1  33
41.4  59
48.7  32
49.2  13
59.5  11
66.0  10
75.1  19
75.7  7
80.3  7

5.
For PdW2, a DFT-relaxed cell (PBE, OQMD) gives the theoretical X-ray diffraction stick pattern in this record (Cu Kα, 1.54184 Å).

Atomic structure:
Cell: 5.229 5.229 5.229 Å, 60.00 60.00 60.00°
Fractional positions:
Pd (0.125, 0.125, 0.125)
Pd (0.875, 0.875, 0.875)
W (0.000, 0.500, 0.500)
W (0.500, 0.000, 0.500)
W (0.500, 0.500, 0.000)
W (0.500, 0.500, 0.500)

Most intense lines, 2θ = 10–90°, sorted by position:
2theta  I (rel.)
20.8  29
34.3  14
40.5  100
42.3  58
49.3  14
54.1  7
65.6  32
72.3  30
86.3  12
87.5  23

6.
For Hf2Al2CoCu2Pd, a DFT-relaxed cell (PBE, OQMD) gives the theoretical X-ray diffraction stick pattern in this record (Cu Kα, 1.54184 Å).

Atomic structure:
Cell: 4.383 4.383 6.252 Å, 90.00 90.00 90.00°
Fractional positions:
Hf (0.000, 0.500, 0.236)
Hf (0.500, 0.000, 0.764)
Al (0.000, 0.500, 0.757)
Al (0.500, 0.000, 0.243)
Co (0.500, 0.500, 0.000)
Cu (0.000, 0.000, 0.000)
Cu (0.500, 0.500, 0.500)
Pd (0.000, 0.000, 0.500)

Most intense lines, 2θ = 10–90°, sorted by position:
2theta  I (rel.)
24.8  65
41.0  100
41.2  50
48.4  10
48.7  22
59.7  16
65.4  9
74.6  16
75.0  33
88.9  10

7.
For K3ZnBr6, a DFT-relaxed cell (PBE, OQMD) gives the theoretical X-ray diffraction stick pattern in this record (Cu Kα, 1.54184 Å).

Atomic structure:
Cell: 6.657 7.555 8.389 Å, 66.19 66.67 64.62°
Fractional positions:
K (0.000, 0.000, 0.000)
K (0.234, 0.290, 0.243)
K (0.766, 0.710, 0.757)
Zn (0.500, 0.500, 0.500)
Br (0.177, 0.784, 0.358)
Br (0.280, 0.613, 0.822)
Br (0.326, 0.210, 0.639)
Br (0.674, 0.790, 0.361)
Br (0.720, 0.387, 0.178)
Br (0.823, 0.216, 0.642)

Most intense lines, 2θ = 10–90°, sorted by position:
2theta  I (rel.)
12.0  71
16.7  34
24.1  76
26.5  92
29.4  42
30.9  100
33.8  64
34.1  68
35.1  62
38.8  34

8.
For Tl2MoC, a DFT-relaxed cell (PBE, OQMD) gives the theoretical X-ray diffraction stick pattern in this record (Cu Kα, 1.54184 Å).

Atomic structure:
Cell: 3.258 3.258 15.458 Å, 90.00 90.00 120.00°
Fractional positions:
Tl (0.333, 0.667, 0.103)
Tl (0.333, 0.667, 0.397)
Tl (0.667, 0.333, 0.603)
Tl (0.667, 0.333, 0.897)
Mo (0.333, 0.667, 0.750)
Mo (0.667, 0.333, 0.250)
C (0.000, 0.000, 0.000)
C (0.000, 0.000, 0.500)

Most intense lines, 2θ = 10–90°, sorted by position:
2theta  I (rel.)
23.0  17
31.7  24
32.3  13
34.8  16
36.3  100
47.8  12
52.6  14
56.5  22
68.1  14
69.0  16

9.
For Nd5Sn2Cl3O10, a DFT-relaxed cell (PBE, OQMD) gives the theoretical X-ray diffraction stick pattern in this record (Cu Kα, 1.54184 Å).

Atomic structure:
Cell: 6.828 6.828 10.065 Å, 91.63 91.63 50.38°
Fractional positions:
Nd (0.000, 0.000, 0.000)
Nd (0.300, 0.300, 0.095)
Nd (0.405, 0.405, 0.758)
Nd (0.595, 0.595, 0.242)
Nd (0.700, 0.700, 0.905)
Sn (0.092, 0.092, 0.675)
Sn (0.908, 0.908, 0.325)
Cl (0.105, 0.105, 0.396)
Cl (0.500, 0.500, 0.500)
Cl (0.895, 0.895, 0.604)
O (0.103, 0.598, 0.925)
O (0.188, 0.690, 0.195)
O (0.245, 0.245, 0.651)
O (0.310, 0.812, 0.805)
O (0.402, 0.897, 0.075)
O (0.598, 0.103, 0.925)
O (0.690, 0.188, 0.195)
O (0.755, 0.755, 0.349)
O (0.812, 0.310, 0.805)
O (0.897, 0.402, 0.075)

Most intense lines, 2θ = 10–90°, sorted by position:
2theta  I (rel.)
24.3  48
26.5  19
28.2  100
30.8  50
31.4  75
33.6  21
46.2  28
50.6  20
53.2  17
54.9  16

10.
For LaNd2Pd2PtPb3, a DFT-relaxed cell (PBE, OQMD) gives the theoretical X-ray diffraction stick pattern in this record (Cu Kα, 1.54184 Å).

Atomic structure:
Cell: 4.130 7.877 7.877 Å, 120.09 90.00 90.00°
Fractional positions:
La (0.000, 0.000, 0.000)
Nd (0.000, 0.405, 0.809)
Nd (0.000, 0.809, 0.405)
Pd (0.500, 0.073, 0.740)
Pd (0.500, 0.740, 0.073)
Pt (0.000, 0.406, 0.406)
Pb (0.500, 0.148, 0.408)
Pb (0.500, 0.408, 0.148)
Pb (0.500, 0.663, 0.663)

Most intense lines, 2θ = 10–90°, sorted by position:
2theta  I (rel.)
13.0  21
31.4  100
34.1  85
34.8  51
39.7  40
41.3  44
43.8  27
57.2  25
60.6  23
63.6  39

11.
For TbBe3I, a DFT-relaxed cell (PBE, OQMD) gives the theoretical X-ray diffraction stick pattern in this record (Cu Kα, 1.54184 Å).

Atomic structure:
Cell: 7.246 7.246 7.246 Å, 130.11 130.11 73.23°
Fractional positions:
Tb (0.250, 0.750, 0.500)
Tb (0.750, 0.250, 0.500)
Be (0.115, 0.615, 0.731)
Be (0.250, 0.250, 0.000)
Be (0.385, 0.115, 0.500)
Be (0.615, 0.885, 0.500)
Be (0.750, 0.750, 0.000)
Be (0.885, 0.385, 0.269)
I (0.000, 0.000, 0.000)
I (0.500, 0.500, 0.000)

Most intense lines, 2θ = 10–90°, sorted by position:
2theta  I (rel.)
25.7  100
29.2  42
30.7  20
41.8  16
42.9  29
49.7  36
51.7  15
52.8  16
68.6  14
77.1  10

12.
For ZrTe7P2, a DFT-relaxed cell (PBE, OQMD) gives the theoretical X-ray diffraction stick pattern in this record (Cu Kα, 1.54184 Å).

Atomic structure:
Cell: 19.078 17.854 9.767 Å, 81.72 67.84 30.44°
Fractional positions:
Zr (0.018, 0.018, 0.232)
Zr (0.232, 0.232, 0.018)
Zr (0.768, 0.768, 0.982)
Zr (0.982, 0.982, 0.768)
Te (0.001, 0.517, 0.301)
Te (0.047, 0.859, 0.471)
Te (0.102, 0.240, 0.316)
Te (0.124, 0.471, 0.859)
Te (0.141, 0.953, 0.876)
Te (0.158, 0.684, 0.760)
Te (0.175, 0.575, 0.175)
Te (0.240, 0.102, 0.842)
Te (0.301, 0.681, 0.001)
Te (0.316, 0.842, 0.102)
Te (0.319, 0.699, 0.483)
Te (0.425, 0.825, 0.425)
Te (0.471, 0.124, 0.047)
Te (0.483, 0.999, 0.319)
Te (0.517, 0.001, 0.681)
Te (0.529, 0.876, 0.953)
Te (0.575, 0.175, 0.575)
Te (0.681, 0.301, 0.517)
Te (0.684, 0.158, 0.898)
Te (0.699, 0.319, 0.999)
Te (0.760, 0.898, 0.158)
Te (0.825, 0.425, 0.825)
Te (0.842, 0.316, 0.240)
Te (0.859, 0.047, 0.124)
Te (0.876, 0.529, 0.141)
Te (0.898, 0.760, 0.684)
Te (0.953, 0.141, 0.529)
Te (0.999, 0.483, 0.699)
P (0.023, 0.620, 0.121)
P (0.121, 0.737, 0.023)
P (0.263, 0.879, 0.380)
P (0.380, 0.977, 0.263)
P (0.620, 0.023, 0.737)
P (0.737, 0.121, 0.620)
P (0.879, 0.263, 0.977)
P (0.977, 0.380, 0.879)

Most intense lines, 2θ = 10–90°, sorted by position:
2theta  I (rel.)
10.3  40
10.6  91
20.7  59
23.6  28
25.6  37
28.2  48
28.3  78
29.7  100
29.8  55
31.9  31

13.
For Nd2IBr2N, a DFT-relaxed cell (PBE, OQMD) gives the theoretical X-ray diffraction stick pattern in this record (Cu Kα, 1.54184 Å).

Atomic structure:
Cell: 9.775 9.775 12.291 Å, 124.90 124.90 24.09°
Fractional positions:
Nd (0.074, 0.074, 0.459)
Nd (0.361, 0.361, 0.215)
Nd (0.639, 0.639, 0.785)
Nd (0.926, 0.926, 0.541)
I (0.268, 0.268, 0.368)
I (0.732, 0.732, 0.632)
Br (0.167, 0.167, 0.000)
Br (0.466, 0.466, 0.747)
Br (0.534, 0.534, 0.253)
Br (0.833, 0.833, 0.000)
N (0.076, 0.076, 0.652)
N (0.924, 0.924, 0.348)

Most intense lines, 2θ = 10–90°, sorted by position:
2theta  I (rel.)
25.5  73
26.6  34
29.2  61
30.2  57
30.9  100
33.7  46
36.8  30
39.8  34
41.6  30
44.4  33